Entry 1:
Diffraction record for MnAl3Rh4. The powder diffractogram is calculated, not measured: it uses a GGA-PBE-relaxed structure and λ = 1.5418 Å (Cu Kα).

Cell and atoms:
a b c (Å): 3.0140 4.2635 8.5183
angles (deg): 90.00 90.00 90.00
Space group Pmmm (No. 47)
One atom of each set of equivalent atoms:
Mn1 0.0000 0.0000 0.0000 (multiplicity 1)
Al1 0.0000 0.0000 0.5000 (multiplicity 1)
Al2 0.0000 0.5000 0.2468 (multiplicity 2)
Rh1 0.5000 0.0000 0.2560 (multiplicity 2)
Rh2 0.5000 0.5000 0.0000 (multiplicity 1)
Rh3 0.5000 0.5000 0.5000 (multiplicity 1)

Main lines, sorted by position (5° ≤ 2θ ≤ 70°):
2theta  intensity  h k l
10.38  1  0 0 1
20.85  1  0 0 2
29.64  35  1 0 0
31.50  1  0 0 3
38.07  1  0 1 3
42.42  100  0 2 0
52.60  9  1 2 0
61.55  16  2 0 0
69.79  12  2 1 2

=====

Entry 2:
Diffraction record for La2BeCN. The powder diffractogram is calculated, not measured: it uses a GGA-PBE-relaxed structure and λ = 1.5418 Å (Cu Kα).

Cell and atoms:
a b c (Å): 6.8048 3.4597 7.4118
angles (deg): 90.00 104.76 90.00
Space group P2_1/m (No. 11)
One atom of each set of equivalent atoms:
La1 0.2130 0.2500 0.4337 (multiplicity 2)
La2 0.2449 0.2500 0.9360 (multiplicity 2)
Be1 0.4356 0.7500 0.7292 (multiplicity 2)
C1 0.4445 0.7500 0.2305 (multiplicity 2)
N1 0.1787 0.7500 0.6680 (multiplicity 2)

Main lines, sorted by position (5° ≤ 2θ ≤ 70°):
2theta  intensity  h k l
24.85  31  0 0 2
25.09  25  1 0 -2
27.10  62  2 0 0
29.16  100  1 1 0
31.32  32  1 0 2
31.90  33  2 0 -2
36.09  42  0 1 2
36.26  45  1 1 -2
49.18  40  1 0 -4
50.35  20  3 1 -2